SrMn2Fe2O7: theoretical XRD peak list (Cu Kα, 1.54184 Å), based on DFT lattice parameters and positions (PBE+U).
Lines closer than 0.1° are merged.

Peak list (10 most intense, 2θ = 15–90°, low angle first)
d/Å  I_rel
3.315  41
3.293  42
2.780  100
2.561  28
2.550  27
2.106  50
2.083  48
2.016  42
1.481  28
1.193  27

Atomic structure:
Cell lengths 8.590, 8.590, 8.590 Å; angles 151.62, 40.34, 151.94 degrees
Element x y z (fractional)
Sr (0.000, 0.000, 0.000)
Mn (0.237, 0.486, 0.751)
Mn (0.735, 0.486, 0.249)
Fe (0.373, 0.989, 0.384)
Fe (0.605, 0.989, 0.616)
O (0.115, 0.486, 0.629)
O (0.244, 0.986, 0.258)
O (0.359, 0.486, 0.873)
O (0.476, 0.976, 0.500)
O (0.613, 0.486, 0.127)
O (0.728, 0.986, 0.742)
O (0.857, 0.486, 0.371)